# 1
The following is a theoretical powder X-ray diffraction pattern of Pr2Dy2Pd15. It was derived from a cell relaxed with GGA-PBE, using Cu Kα X-rays.

The 6 most intense peaks (10° ≤ 2θ ≤ 90°), by angle:
d_spacing, 2θ (°), I_rel
2.677, 33.47, 55
2.658, 33.72, 50
2.363, 38.08, 38
2.330, 38.65, 100
2.318, 38.84, 97
2.082, 43.47, 90

Cell lengths 7.1426, 7.1426, 7.1426 Å; angles 80.97, 80.97, 80.97 degrees
Element x y z (fractional)
Pr 0.1403 0.1403 0.1403
Pr 0.8597 0.8597 0.8597
Dy 0.3918 0.3918 0.3918
Dy 0.6082 0.6082 0.6082
Pd 0.0000 0.5000 0.5000
Pd 0.1506 0.1506 0.6584
Pd 0.1506 0.6584 0.1506
Pd 0.1950 0.5000 0.8050
Pd 0.1950 0.8050 0.5000
Pd 0.3416 0.8494 0.8494
Pd 0.5000 0.0000 0.5000
Pd 0.5000 0.1950 0.8050
Pd 0.5000 0.5000 0.0000
Pd 0.5000 0.8050 0.1950
Pd 0.6584 0.1506 0.1506
Pd 0.8050 0.1950 0.5000
Pd 0.8050 0.5000 0.1950
Pd 0.8494 0.3416 0.8494
Pd 0.8494 0.8494 0.3416



# 2
The following is a theoretical powder X-ray diffraction pattern of Dy4Pd7Pt. It was derived from a cell relaxed with GGA-PBE, using Cu Kα X-rays.

The 6 most intense peaks (10° ≤ 2θ ≤ 90°), by angle:
d_spacing, 2θ (°), I_rel
2.601, 34.48, 100
2.569, 34.93, 41
2.435, 36.91, 53
2.190, 41.23, 41
2.127, 42.51, 54
2.072, 43.69, 48

Cell lengths 5.5655, 5.5981, 8.0666 Å; angles 86.29, 75.10, 76.24 degrees
Element x y z (fractional)
Dy 0.0618 0.3308 0.2040
Dy 0.3991 0.7392 0.3433
Dy 0.6009 0.2608 0.6567
Dy 0.9382 0.6692 0.7960
Pd 0.0349 0.8246 0.1168
Pd 0.1558 0.2520 0.5412
Pd 0.3998 0.8127 0.7214
Pd 0.5000 0.5000 0.0000
Pd 0.6002 0.1873 0.2786
Pd 0.8442 0.7480 0.4588
Pd 0.9651 0.1754 0.8832
Pt 0.5000 0.0000 0.0000



# 3
The following is a theoretical powder X-ray diffraction pattern of Dy2PdPt2. It was derived from a cell relaxed with GGA-PBE, using Cu Kα X-rays.

The 6 most intense peaks (10° ≤ 2θ ≤ 90°), by angle:
d_spacing, 2θ (°), I_rel
2.646, 33.88, 15
2.496, 35.99, 100
2.375, 37.89, 35
1.865, 48.84, 13
1.467, 63.42, 16
1.306, 72.34, 14

Cell lengths 7.5096, 7.5096, 7.4588 Å; angles 90.00, 90.00, 90.00 degrees
Element x y z (fractional)
Dy 0.1724 0.3274 0.0000
Dy 0.1726 0.3276 0.5000
Dy 0.3274 0.8276 0.0000
Dy 0.3276 0.8274 0.5000
Dy 0.6724 0.1726 0.5000
Dy 0.6726 0.1724 0.0000
Dy 0.8274 0.6724 0.5000
Dy 0.8276 0.6726 0.0000
Pd 0.0000 0.0000 0.2511
Pd 0.0000 0.0000 0.7489
Pd 0.5000 0.5000 0.2489
Pd 0.5000 0.5000 0.7511
Pt 0.1311 0.6311 0.2500
Pt 0.1311 0.6311 0.7500
Pt 0.3689 0.1311 0.2500
Pt 0.3689 0.1311 0.7500
Pt 0.6311 0.8689 0.2500
Pt 0.6311 0.8689 0.7500
Pt 0.8689 0.3689 0.2500
Pt 0.8689 0.3689 0.7500



# 4
The following is a theoretical powder X-ray diffraction pattern of Dy4PdPt. It was derived from a cell relaxed with GGA-PBE, using Cu Kα X-rays.

The 6 most intense peaks (10° ≤ 2θ ≤ 90°), by angle:
d_spacing, 2θ (°), I_rel
3.112, 28.68, 28
3.100, 28.80, 100
2.826, 31.67, 31
2.452, 36.66, 38
2.096, 43.17, 27
2.089, 43.32, 51

Cell lengths 6.9346, 6.9310, 6.9411 Å; angles 90.00, 90.40, 90.00 degrees
Element x y z (fractional)
Dy 0.1636 0.1660 0.1676
Dy 0.1636 0.3340 0.6676
Dy 0.3344 0.6637 0.1624
Dy 0.3344 0.8363 0.6624
Dy 0.6656 0.1637 0.3376
Dy 0.6656 0.3363 0.8376
Dy 0.8364 0.6660 0.3324
Dy 0.8364 0.8340 0.8324
Pd 0.5000 0.0000 0.0000
Pd 0.5000 0.5000 0.5000
Pt 0.0000 0.0000 0.5000
Pt 0.0000 0.5000 0.0000



# 5
The following is a theoretical powder X-ray diffraction pattern of DyPd6Pt23. It was derived from a cell relaxed with GGA-PBE, using Cu Kα X-rays.

The 6 most intense peaks (10° ≤ 2θ ≤ 90°), by angle:
d_spacing, 2θ (°), I_rel
2.278, 39.56, 100
1.982, 45.78, 33
1.955, 46.44, 16
1.392, 67.26, 21
1.194, 80.45, 25
1.182, 81.42, 12

Cell lengths 9.6227, 9.6227, 9.6227 Å; angles 131.34, 131.34, 71.27 degrees
Element x y z (fractional)
Dy 0.0000 0.0000 0.0000
Pd 0.2478 0.2478 0.0000
Pd 0.2517 0.2517 0.5034
Pd 0.2517 0.7483 0.0000
Pd 0.7483 0.2517 0.0000
Pd 0.7483 0.7483 0.4966
Pd 0.7522 0.7522 0.0000
Pt 0.0000 0.0000 0.5000
Pt 0.0000 0.5000 0.0000
Pt 0.0000 0.5000 0.5000
Pt 0.1209 0.3719 0.7490
Pt 0.1308 0.3921 0.2613
Pt 0.1305 0.8692 0.2613
Pt 0.1308 0.8695 0.7387
Pt 0.3719 0.1209 0.7490
Pt 0.3719 0.6228 0.2510
Pt 0.3772 0.6281 0.7490
Pt 0.3921 0.1308 0.2613
Pt 0.5000 0.0000 0.0000
Pt 0.5000 0.0000 0.5000
Pt 0.5000 0.5000 0.0000
Pt 0.5000 0.5000 0.5000
Pt 0.6079 0.8692 0.7387
Pt 0.6228 0.3719 0.2510
Pt 0.6281 0.3772 0.7490
Pt 0.6281 0.8791 0.2510
Pt 0.8692 0.1305 0.2613
Pt 0.8695 0.1308 0.7387
Pt 0.8692 0.6079 0.7387
Pt 0.8791 0.6281 0.2510



# 6
The following is a theoretical powder X-ray diffraction pattern of DyPd6Pt4. It was derived from a cell relaxed with GGA-PBE, using Cu Kα X-rays.

The 6 most intense peaks (10° ≤ 2θ ≤ 90°), by angle:
d_spacing, 2θ (°), I_rel
2.874, 31.12, 24
2.288, 39.39, 71
2.259, 39.91, 100
2.220, 40.64, 27
2.173, 41.57, 88
1.997, 45.41, 55

Cell lengths 4.5752, 7.9084, 7.9084 Å; angles 41.07, 90.00, 90.00 degrees
Element x y z (fractional)
Dy 0.0000 0.0000 0.0000
Pd 0.0000 0.0468 0.5412
Pd 0.0000 0.4584 0.4584
Pd 0.0000 0.5412 0.0468
Pd 0.5000 0.3348 0.8344
Pd 0.5000 0.7431 0.7431
Pd 0.5000 0.8344 0.3348
Pt 0.0000 0.6365 0.6365
Pt 0.5000 0.1545 0.6524
Pt 0.5000 0.2423 0.2423
Pt 0.5000 0.6524 0.1545



# 7
The following is a theoretical powder X-ray diffraction pattern of Dy2Pd5Pt4. It was derived from a cell relaxed with GGA-PBE, using Cu Kα X-rays.

The 6 most intense peaks (10° ≤ 2θ ≤ 90°), by angle:
d_spacing, 2θ (°), I_rel
4.125, 21.54, 27
2.414, 37.25, 100
2.316, 38.88, 42
2.296, 39.23, 84
2.061, 43.93, 30
1.996, 45.44, 53

Cell lengths 5.8341, 5.8341, 8.6237 Å; angles 121.43, 121.43, 56.57 degrees
Element x y z (fractional)
Dy 0.0720 0.0720 0.2693
Dy 0.9280 0.9280 0.7307
Pd 0.0798 0.5961 0.3253
Pd 0.4039 0.9202 0.6747
Pd 0.5000 0.5000 0.0000
Pd 0.5961 0.0798 0.3253
Pd 0.9202 0.4039 0.6747
Pt 0.2521 0.2521 0.0143
Pt 0.3925 0.3925 0.6323
Pt 0.6075 0.6075 0.3677
Pt 0.7479 0.7479 0.9857



# 8
The following is a theoretical powder X-ray diffraction pattern of Dy8Te4PdPt3. It was derived from a cell relaxed with GGA-PBE, using Cu Kα X-rays.

The 6 most intense peaks (10° ≤ 2θ ≤ 90°), by angle:
d_spacing, 2θ (°), I_rel
3.002, 29.76, 100
2.180, 41.41, 35
2.070, 43.74, 37
1.704, 53.80, 19
1.371, 68.40, 12
1.316, 71.75, 16

Cell lengths 8.7464, 8.7464, 8.7464 Å; angles 56.50, 56.50, 56.50 degrees
Element x y z (fractional)
Dy 0.2340 0.7396 0.7396
Dy 0.2373 0.2373 0.2373
Dy 0.2604 0.2604 0.7660
Dy 0.2604 0.7660 0.2604
Dy 0.7396 0.2340 0.7396
Dy 0.7396 0.7396 0.2340
Dy 0.7627 0.7627 0.7627
Dy 0.7660 0.2604 0.2604
Te 0.0000 0.0000 0.0000
Te 0.0000 0.5000 0.5000
Te 0.5000 0.0000 0.5000
Te 0.5000 0.5000 0.0000
Pd 0.5000 0.5000 0.5000
Pt 0.0000 0.0000 0.5000
Pt 0.0000 0.5000 0.0000
Pt 0.5000 0.0000 0.0000



# 9
The following is a theoretical powder X-ray diffraction pattern of Dy2PuPd3. It was derived from a cell relaxed with GGA-PBE, using Cu Kα X-rays.

The 6 most intense peaks (10° ≤ 2θ ≤ 90°), by angle:
d_spacing, 2θ (°), I_rel
2.499, 35.94, 100
2.450, 36.68, 48
1.732, 52.85, 17
1.453, 64.11, 18
1.424, 65.57, 35
1.249, 76.19, 11

Cell lengths 3.4649, 3.4649, 10.8226 Å; angles 90.00, 90.00, 90.00 degrees
Element x y z (fractional)
Dy 0.0000 0.0000 0.1661
Dy 0.0000 0.0000 0.8339
Pu 0.0000 0.0000 0.5000
Pd 0.5000 0.5000 0.0000
Pd 0.5000 0.5000 0.3202
Pd 0.5000 0.5000 0.6798



# 10
The following is a theoretical powder X-ray diffraction pattern of DyPu3Pd4. It was derived from a cell relaxed with GGA-PBE, using Cu Kα X-rays.

The 6 most intense peaks (10° ≤ 2θ ≤ 90°), by angle:
d_spacing, 2θ (°), I_rel
2.523, 35.58, 26
2.502, 35.89, 26
2.475, 36.29, 100
1.777, 51.44, 18
1.447, 64.37, 18
1.439, 64.77, 19

Cell lengths 3.4508, 5.0039, 10.0922 Å; angles 90.00, 90.00, 90.00 degrees
Element x y z (fractional)
Dy 0.0000 0.0000 0.0000
Pu 0.0000 0.0000 0.5000
Pu 0.0000 0.5000 0.2538
Pu 0.0000 0.5000 0.7462
Pd 0.5000 0.0000 0.2391
Pd 0.5000 0.0000 0.7609
Pd 0.5000 0.5000 0.0000
Pd 0.5000 0.5000 0.5000



# 11
The following is a theoretical powder X-ray diffraction pattern of DyPdRh. It was derived from a cell relaxed with GGA-PBE, using Cu Kα X-rays.

The 6 most intense peaks (10° ≤ 2θ ≤ 90°), by angle:
d_spacing, 2θ (°), I_rel
4.123, 21.55, 21
3.554, 25.05, 16
2.976, 30.03, 20
2.282, 39.50, 100
2.149, 42.04, 21
2.061, 43.92, 18

Cell lengths 3.5542, 4.1229, 4.2986 Å; angles 90.00, 90.00, 90.00 degrees
Element x y z (fractional)
Dy 0.0000 0.0000 0.0000
Pd 0.0000 0.5000 0.5000
Rh 0.5000 0.0000 0.5000



# 12
The following is a theoretical powder X-ray diffraction pattern of Dy6Pd2Rh. It was derived from a cell relaxed with GGA-PBE, using Cu Kα X-rays.

The 6 most intense peaks (10° ≤ 2θ ≤ 90°), by angle:
d_spacing, 2θ (°), I_rel
3.055, 29.23, 70
2.975, 30.03, 61
2.960, 30.19, 56
2.944, 30.36, 96
2.870, 31.16, 100
2.288, 39.37, 57

Cell lengths 6.5127, 7.3334, 11.8237 Å; angles 90.00, 121.98, 90.00 degrees
Element x y z (fractional)
Dy 0.0915 0.1846 0.4321
Dy 0.0915 0.3154 0.9321
Dy 0.2588 0.6744 0.4312
Dy 0.2588 0.8256 0.9312
Dy 0.3991 0.0399 0.2465
Dy 0.3991 0.4601 0.7465
Dy 0.6009 0.5399 0.2535
Dy 0.6009 0.9601 0.7535
Dy 0.7412 0.1744 0.0688
Dy 0.7412 0.3256 0.5688
Dy 0.9085 0.6846 0.0679
Dy 0.9085 0.8154 0.5679
Pd 0.1801 0.1158 0.7400
Pd 0.1801 0.3842 0.2400
Pd 0.8199 0.6158 0.7600
Pd 0.8199 0.8842 0.2600
Rh 0.5000 0.0000 0.5000
Rh 0.5000 0.5000 0.0000



Please write out number 5 again, unchanged.
The following is a theoretical powder X-ray diffraction pattern of DyPd6Pt23. It was derived from a cell relaxed with GGA-PBE, using Cu Kα X-rays.

The 6 most intense peaks (10° ≤ 2θ ≤ 90°), by angle:
d_spacing, 2θ (°), I_rel
2.278, 39.56, 100
1.982, 45.78, 33
1.955, 46.44, 16
1.392, 67.26, 21
1.194, 80.45, 25
1.182, 81.42, 12

Cell lengths 9.6227, 9.6227, 9.6227 Å; angles 131.34, 131.34, 71.27 degrees
Element x y z (fractional)
Dy 0.0000 0.0000 0.0000
Pd 0.2478 0.2478 0.0000
Pd 0.2517 0.2517 0.5034
Pd 0.2517 0.7483 0.0000
Pd 0.7483 0.2517 0.0000
Pd 0.7483 0.7483 0.4966
Pd 0.7522 0.7522 0.0000
Pt 0.0000 0.0000 0.5000
Pt 0.0000 0.5000 0.0000
Pt 0.0000 0.5000 0.5000
Pt 0.1209 0.3719 0.7490
Pt 0.1308 0.3921 0.2613
Pt 0.1305 0.8692 0.2613
Pt 0.1308 0.8695 0.7387
Pt 0.3719 0.1209 0.7490
Pt 0.3719 0.6228 0.2510
Pt 0.3772 0.6281 0.7490
Pt 0.3921 0.1308 0.2613
Pt 0.5000 0.0000 0.0000
Pt 0.5000 0.0000 0.5000
Pt 0.5000 0.5000 0.0000
Pt 0.5000 0.5000 0.5000
Pt 0.6079 0.8692 0.7387
Pt 0.6228 0.3719 0.2510
Pt 0.6281 0.3772 0.7490
Pt 0.6281 0.8791 0.2510
Pt 0.8692 0.1305 0.2613
Pt 0.8695 0.1308 0.7387
Pt 0.8692 0.6079 0.7387
Pt 0.8791 0.6281 0.2510



Repeat the eighth record exactly.
The following is a theoretical powder X-ray diffraction pattern of Dy8Te4PdPt3. It was derived from a cell relaxed with GGA-PBE, using Cu Kα X-rays.

The 6 most intense peaks (10° ≤ 2θ ≤ 90°), by angle:
d_spacing, 2θ (°), I_rel
3.002, 29.76, 100
2.180, 41.41, 35
2.070, 43.74, 37
1.704, 53.80, 19
1.371, 68.40, 12
1.316, 71.75, 16

Cell lengths 8.7464, 8.7464, 8.7464 Å; angles 56.50, 56.50, 56.50 degrees
Element x y z (fractional)
Dy 0.2340 0.7396 0.7396
Dy 0.2373 0.2373 0.2373
Dy 0.2604 0.2604 0.7660
Dy 0.2604 0.7660 0.2604
Dy 0.7396 0.2340 0.7396
Dy 0.7396 0.7396 0.2340
Dy 0.7627 0.7627 0.7627
Dy 0.7660 0.2604 0.2604
Te 0.0000 0.0000 0.0000
Te 0.0000 0.5000 0.5000
Te 0.5000 0.0000 0.5000
Te 0.5000 0.5000 0.0000
Pd 0.5000 0.5000 0.5000
Pt 0.0000 0.0000 0.5000
Pt 0.0000 0.5000 0.0000
Pt 0.5000 0.0000 0.0000